[1]
Starting from the PBE+U geometry in the Materials Project, the powder diffractogram of Co2PClO4 was calculated for Cu Kα.
Neutral-atom scattering factors, no anomalous dispersion.

Structural model:
a b c (Å): 8.228 8.228 9.317
angles (deg): 124.40 124.40 67.93
Positions (direct):
Co 0.000 0.000 0.000
Co 0.000 0.000 0.500
Co 0.074 0.559 0.826
Co 0.274 0.726 0.750
Co 0.441 0.926 0.674
Co 0.559 0.074 0.326
Co 0.726 0.274 0.250
Co 0.926 0.441 0.174
P 0.225 0.241 0.485
P 0.241 0.225 0.985
P 0.759 0.775 0.015
P 0.775 0.759 0.515
Cl 0.190 0.661 0.426
Cl 0.339 0.810 0.074
Cl 0.661 0.190 0.926
Cl 0.810 0.339 0.574
O 0.028 0.221 0.288
O 0.080 0.223 0.024
O 0.214 0.449 0.657
O 0.216 0.406 0.970
O 0.221 0.028 0.788
O 0.223 0.080 0.524
O 0.406 0.216 0.470
O 0.449 0.214 0.157
O 0.551 0.786 0.843
O 0.594 0.784 0.530
O 0.777 0.920 0.476
O 0.779 0.972 0.212
O 0.784 0.594 0.030
O 0.786 0.551 0.343
O 0.920 0.777 0.976
O 0.972 0.779 0.712

Main lines, most intense first (2θ = 10–90°):
2θ 32.72, intensity 100
2θ 38.61, intensity 85
2θ 22.38, intensity 49
2θ 13.09, intensity 41
2θ 13.53, intensity 40
2θ 27.25, intensity 36
2θ 56.23, intensity 29
2θ 55.95, intensity 24
2θ 39.20, intensity 22
2θ 30.51, intensity 20

---

[2]
Starting from the PBE+U geometry in the Materials Project, the powder diffractogram of KFe3H6S2O14 was calculated for Cu Kα.
Neutral-atom scattering factors, no anomalous dispersion.

Structural model:
a b c (Å): 7.292 7.292 7.292
angles (deg): 61.12 61.12 61.12
Positions (direct):
K 0.000 0.000 0.000
Fe 0.000 0.000 0.500
Fe 0.000 0.500 0.000
Fe 0.500 0.000 0.000
H 0.282 0.693 0.693
H 0.307 0.307 0.718
H 0.307 0.718 0.307
H 0.693 0.282 0.693
H 0.693 0.693 0.282
H 0.718 0.307 0.307
S 0.305 0.305 0.305
S 0.695 0.695 0.695
O 0.120 0.736 0.737
O 0.167 0.167 0.497
O 0.167 0.497 0.167
O 0.263 0.264 0.880
O 0.263 0.880 0.263
O 0.389 0.389 0.389
O 0.497 0.167 0.167
O 0.503 0.833 0.833
O 0.611 0.611 0.611
O 0.737 0.120 0.737
O 0.737 0.737 0.120
O 0.833 0.503 0.833
O 0.833 0.833 0.503
O 0.880 0.263 0.263

Main lines, most intense first (2θ = 10–90°):
2θ 28.43, intensity 100
2θ 28.25, intensity 59
2θ 17.06, intensity 55
2θ 49.14, intensity 34
2θ 45.05, intensity 33
2θ 38.24, intensity 32
2θ 14.67, intensity 29
2θ 59.62, intensity 24
2θ 34.51, intensity 24
2θ 15.01, intensity 21

---

[3]
Starting from the PBE+U geometry in the Materials Project, the powder diffractogram of Sr3NbCoO7 was calculated for Cu Kα.
Neutral-atom scattering factors, no anomalous dispersion.

Structural model:
a b c (Å): 3.982 3.988 42.311
angles (deg): 90.00 90.04 90.08
Positions (direct):
Sr 0.000 0.000 0.000
Sr 0.000 0.000 0.106
Sr 0.000 0.997 0.607
Sr 0.004 0.996 0.920
Sr 0.497 0.494 0.670
Sr 0.497 0.503 0.169
Sr 0.502 0.499 0.855
Sr 0.504 0.498 0.355
Sr 0.505 0.495 0.249
Sr 0.505 0.502 0.750
Sr 0.993 0.996 0.501
Sr 0.997 0.997 0.419
Nb 0.003 0.000 0.807
Nb 0.003 0.997 0.308
Nb 0.499 0.497 0.559
Nb 0.500 0.499 0.058
Co 0.001 0.998 0.709
Co 0.002 0.998 0.207
Co 0.484 0.494 0.456
Co 0.501 0.498 0.958
O 0.000 0.498 0.809
O 0.000 0.997 0.761
O 0.001 0.498 0.311
O 0.001 0.498 0.561
O 0.001 0.498 0.961
O 0.001 0.499 0.060
O 0.001 0.500 0.712
O 0.001 0.998 0.856
O 0.001 0.999 0.263
O 0.002 0.496 0.211
O 0.003 0.000 0.358
O 0.003 0.000 0.662
O 0.004 0.995 0.161
O 0.006 0.499 0.461
O 0.499 0.501 0.911
O 0.501 0.498 0.012
O 0.501 0.499 0.107
O 0.501 0.997 0.809
O 0.501 0.999 0.060
O 0.502 0.498 0.513
O 0.502 0.498 0.608
O 0.502 0.998 0.311
O 0.502 0.998 0.561
O 0.502 0.999 0.461
O 0.502 0.999 0.961
O 0.503 0.998 0.211
O 0.503 0.999 0.712
O 0.520 0.503 0.411

Main lines, most intense first (2θ = 10–90°):
2θ 30.82, intensity 100
2θ 31.75, intensity 66
2θ 45.52, intensity 41
2θ 55.98, intensity 33
2θ 42.74, intensity 14
2θ 54.22, intensity 14
2θ 64.19, intensity 11
2θ 25.68, intensity 11
2θ 44.76, intensity 10
2θ 47.13, intensity 10

---

[4]
Starting from the PBE+U geometry in the Materials Project, the powder diffractogram of LaCrAsO was calculated for Cu Kα.
Neutral-atom scattering factors, no anomalous dispersion.

Structural model:
a b c (Å): 4.180 8.236 10.050
angles (deg): 112.98 90.01 90.01
Positions (direct):
La 0.000 0.000 0.000
La 0.000 0.500 0.000
La 0.500 0.126 0.742
La 0.500 0.627 0.742
Cr 0.000 0.938 0.363
Cr 0.001 0.438 0.363
Cr 0.498 0.190 0.380
Cr 0.498 0.690 0.379
As 0.500 0.341 0.198
As 0.500 0.840 0.197
As 0.999 0.287 0.545
As 0.999 0.786 0.545
O 0.000 0.188 0.870
O 0.000 0.688 0.870
O 0.500 0.438 0.872
O 0.500 0.938 0.872

Main lines, most intense first (2θ = 10–90°):
2θ 28.76, intensity 100
2θ 29.34, intensity 38
2θ 30.47, intensity 30
2θ 43.29, intensity 23
2θ 43.98, intensity 21
2θ 50.62, intensity 21
2θ 36.01, intensity 21
2θ 49.83, intensity 18
2θ 31.86, intensity 16
2θ 53.16, intensity 14

---

[5]
Starting from the PBE+U geometry in the Materials Project, the powder diffractogram of Fe5NiP6O24 was calculated for Cu Kα.
Neutral-atom scattering factors, no anomalous dispersion.

Structural model:
a b c (Å): 8.426 8.426 8.426
angles (deg): 62.02 62.02 62.02
Positions (direct):
Fe 0.000 0.000 0.000
Fe 0.146 0.146 0.146
Fe 0.294 0.294 0.294
Fe 0.645 0.645 0.645
Fe 0.792 0.792 0.792
Ni 0.503 0.503 0.503
P 0.100 0.397 0.695
P 0.195 0.896 0.599
P 0.397 0.695 0.100
P 0.599 0.195 0.896
P 0.695 0.100 0.397
P 0.896 0.599 0.195
O 0.039 0.822 0.643
O 0.051 0.396 0.207
O 0.081 0.242 0.899
O 0.142 0.323 0.539
O 0.149 0.972 0.753
O 0.207 0.051 0.396
O 0.242 0.899 0.081
O 0.253 0.467 0.658
O 0.323 0.539 0.142
O 0.396 0.207 0.051
O 0.396 0.744 0.585
O 0.467 0.658 0.253
O 0.539 0.142 0.323
O 0.550 0.709 0.896
O 0.585 0.396 0.744
O 0.643 0.039 0.822
O 0.658 0.253 0.467
O 0.709 0.896 0.550
O 0.744 0.585 0.396
O 0.753 0.149 0.972
O 0.822 0.643 0.039
O 0.896 0.550 0.709
O 0.899 0.081 0.242
O 0.972 0.753 0.149

Main lines, most intense first (2θ = 10–90°):
2θ 24.35, intensity 100
2θ 20.46, intensity 92
2θ 33.56, intensity 76
2θ 35.83, intensity 44
2θ 49.90, intensity 30
2θ 48.04, intensity 29
2θ 56.05, intensity 25
2θ 62.94, intensity 24
2θ 31.79, intensity 15
2θ 57.15, intensity 15

---

[6]
Starting from the PBE+U geometry in the Materials Project, the powder diffractogram of Li3Al2VO6 was calculated for Cu Kα.
Neutral-atom scattering factors, no anomalous dispersion.

Structural model:
a b c (Å): 5.884 10.197 9.990
angles (deg): 90.00 125.02 90.00
Positions (direct):
Li 0.194 0.156 0.377
Li 0.194 0.344 0.877
Li 0.203 0.005 0.860
Li 0.203 0.495 0.360
Li 0.259 0.501 0.114
Li 0.259 0.999 0.614
Li 0.741 0.001 0.386
Li 0.741 0.499 0.886
Li 0.797 0.505 0.640
Li 0.797 0.995 0.140
Li 0.806 0.656 0.123
Li 0.806 0.844 0.623
Al 0.212 0.665 0.878
Al 0.212 0.835 0.378
Al 0.299 0.663 0.626
Al 0.299 0.837 0.126
Al 0.701 0.163 0.874
Al 0.701 0.337 0.374
Al 0.788 0.165 0.622
Al 0.788 0.335 0.122
V 0.287 0.164 0.126
V 0.287 0.336 0.626
V 0.713 0.664 0.374
V 0.713 0.836 0.874
O 0.005 0.172 0.868
O 0.005 0.328 0.368
O 0.060 0.678 0.389
O 0.060 0.822 0.889
O 0.064 0.517 0.877
O 0.064 0.983 0.377
O 0.433 0.504 0.628
O 0.433 0.996 0.128
O 0.459 0.687 0.118
O 0.459 0.813 0.618
O 0.490 0.180 0.638
O 0.490 0.320 0.138
O 0.510 0.680 0.862
O 0.510 0.820 0.362
O 0.541 0.187 0.382
O 0.541 0.313 0.882
O 0.567 0.004 0.872
O 0.567 0.496 0.372
O 0.936 0.017 0.623
O 0.936 0.483 0.123
O 0.940 0.178 0.111
O 0.940 0.322 0.611
O 0.995 0.672 0.632
O 0.995 0.828 0.132

Main lines, most intense first (2θ = 10–90°):
2θ 30.38, intensity 100
2θ 53.97, intensity 58
2θ 17.40, intensity 47
2θ 44.28, intensity 41
2θ 18.74, intensity 21
2θ 23.43, intensity 18
2θ 27.75, intensity 17
2θ 28.19, intensity 16
2θ 71.65, intensity 14
2θ 72.97, intensity 14

---

[7]
Starting from the PBE+U geometry in the Materials Project, the powder diffractogram of MgMn3CuO8 was calculated for Cu Kα.
Neutral-atom scattering factors, no anomalous dispersion.

Structural model:
a b c (Å): 5.907 5.907 5.978
angles (deg): 119.54 119.54 59.99
Positions (direct):
Mg 0.000 0.000 0.000
Mn 0.000 0.500 0.000
Mn 0.500 0.000 0.000
Mn 0.500 0.500 0.000
Cu 0.500 0.500 0.500
O 0.247 0.247 0.206
O 0.247 0.711 0.206
O 0.267 0.267 0.800
O 0.289 0.753 0.794
O 0.711 0.247 0.206
O 0.733 0.733 0.200
O 0.753 0.289 0.794
O 0.753 0.753 0.794

Main lines, most intense first (2θ = 10–90°):
2θ 43.05, intensity 100
2θ 18.36, intensity 81
2θ 18.05, intensity 67
2θ 62.94, intensity 28
2θ 62.07, intensity 25
2θ 35.46, intensity 24
2θ 37.21, intensity 20
2θ 35.63, intensity 15
2θ 79.30, intensity 12
2θ 35.13, intensity 11

---

[8]
Starting from the PBE+U geometry in the Materials Project, the powder diffractogram of Li4Ti3Cr3W2O16 was calculated for Cu Kα.
Neutral-atom scattering factors, no anomalous dispersion.

Structural model:
a b c (Å): 5.974 5.974 9.843
angles (deg): 90.96 90.96 59.90
Positions (direct):
Li 0.000 0.000 0.000
Li 0.002 0.002 0.498
Li 0.334 0.334 0.095
Li 0.665 0.665 0.592
Ti 0.163 0.661 0.777
Ti 0.661 0.163 0.777
Ti 0.830 0.830 0.278
Cr 0.169 0.169 0.780
Cr 0.338 0.828 0.279
Cr 0.828 0.338 0.279
W 0.330 0.330 0.504
W 0.663 0.663 0.007
O 0.000 0.000 0.682
O 0.036 0.482 0.654
O 0.158 0.673 0.389
O 0.163 0.163 0.393
O 0.324 0.836 0.894
O 0.337 0.337 0.887
O 0.480 0.480 0.651
O 0.482 0.036 0.654
O 0.516 0.516 0.156
O 0.520 0.960 0.153
O 0.672 0.672 0.385
O 0.673 0.158 0.389
O 0.836 0.324 0.894
O 0.836 0.836 0.887
O 0.960 0.520 0.153
O 0.995 0.995 0.184

Main lines, most intense first (2θ = 10–90°):
2θ 19.49, intensity 100
2θ 19.29, intensity 96
2θ 34.88, intensity 32
2θ 35.18, intensity 31
2θ 62.19, intensity 31
2θ 35.42, intensity 30
2θ 29.93, intensity 27
2θ 32.18, intensity 23
2θ 32.47, intensity 22
2θ 36.03, intensity 22